Starting from the GGA+U geometry in the Materials Project, the powder diffraction line list of Ba2Cr2F11 was simulated for Cu Kα.
Kinematic intensities with the Lorentz-polarization factor, no thermal factor.

Peak list (6 most intense, 5° ≤ 2θ ≤ 70°, in order of falling intensity)
index, 2θ (°), I (rel.)
2 -1 1, 23.72, 100.0
0 1 3, 22.89, 76.0
0 1 6, 40.19, 66.7
1 1 2, 26.11, 46.6
2 1 2, 37.53, 43.0
0 2 1, 27.22, 40.4

Structural model:
```
data_Ba2Cr2F11
_chemical_formula_sum 'Ba6 Cr6 F33'
_cell_length_a 7.7736
_cell_length_b 7.7736
_cell_length_c 14.2753
_cell_angle_alpha 90.00
_cell_angle_beta 90.00
_cell_angle_gamma 120.00
_symmetry_space_group_name_H-M 'P 32'
_symmetry_Int_Tables_number 145
_symmetry_space_group_name_Hall 'P 32'
loop_
_atom_site_label
_atom_site_fract_x
_atom_site_fract_y
_atom_site_fract_z
Ba1 0.1546 0.0606 0.0000
Ba2 0.4991 0.1255 0.4773
Cr1 0.1823 0.4431 0.3962
Cr2 0.3520 0.3291 0.2226
F1 0.0534 0.5913 0.4323
F2 0.0565 0.3323 0.0132
F3 0.0685 0.9205 0.5204
F4 0.1672 0.3543 0.5133
F5 0.2331 0.5773 0.7421
F6 0.2355 0.5048 0.2616
F7 0.2716 0.2620 0.3597
F8 0.2779 0.2572 0.8469
F9 0.3279 0.0694 0.6863
F10 0.4371 0.1675 0.1621
F11 0.5255 0.1387 0.9405
```